1.
Starting from DFT lattice parameters and positions (PBE), the X-ray diffraction stick pattern of CaSnHgPb was calculated for Cu Kα (weighted mean of Kα1 and Kα2).
Neutral-atom scattering factors, no anomalous dispersion.

Atomic structure:
Cell lengths 4.712, 4.802, 4.808 Å; angles 90.00, 90.00, 90.00 degrees
Sites, in units of the cell vectors:
Ca (0.000, 0.000, 0.000)
Sn (0.500, 0.000, 0.500)
Hg (0.000, 0.500, 0.500)
Pb (0.500, 0.500, 0.000)

Most intense lines, 2θ = 10–80°, sorted by position:
2θ/deg  d/Å  intensity
18.48  4.802  18
26.49  3.365  16
32.49  2.756  100
37.44  2.402  34
38.20  2.356  16
53.98  1.699  12
54.55  1.682  23
64.43  1.446  29
65.46  1.426  14
68.04  1.378  12

2.
Starting from DFT lattice parameters and positions (PBE), the X-ray diffraction stick pattern of SrDyAs2Rh5 was calculated for Cu Kα (weighted mean of Kα1 and Kα2).
Neutral-atom scattering factors, no anomalous dispersion.

Atomic structure:
Cell lengths 4.734, 4.734, 7.500 Å; angles 90.00, 90.00, 90.00 degrees
Sites, in units of the cell vectors:
Sr (0.000, 0.000, 0.000)
Dy (0.000, 0.000, 0.500)
As (0.500, 0.500, 0.329)
As (0.500, 0.500, 0.671)
Rh (0.000, 0.500, 0.275)
Rh (0.000, 0.500, 0.725)
Rh (0.500, 0.000, 0.275)
Rh (0.500, 0.000, 0.725)
Rh (0.500, 0.500, 0.000)

Most intense lines, 2θ = 10–80°, sorted by position:
2θ/deg  d/Å  intensity
30.41  2.940  17
35.96  2.498  100
38.01  2.367  76
40.82  2.211  16
53.30  1.719  9
54.85  1.674  26
57.00  1.616  12
63.27  1.470  16
67.34  1.390  33
76.25  1.249  9

3.
Starting from DFT lattice parameters and positions (PBE), the X-ray diffraction stick pattern of CeDy2Er6 was calculated for Cu Kα (weighted mean of Kα1 and Kα2).
Neutral-atom scattering factors, no anomalous dispersion.

Atomic structure:
Cell lengths 7.515, 7.515, 7.515 Å; angles 57.41, 57.41, 57.41 degrees
Sites, in units of the cell vectors:
Ce (0.000, 0.000, 0.000)
Dy (0.561, 0.561, 0.561)
Dy (0.739, 0.739, 0.739)
Er (0.058, 0.058, 0.540)
Er (0.058, 0.540, 0.058)
Er (0.265, 0.265, 0.710)
Er (0.265, 0.710, 0.265)
Er (0.540, 0.058, 0.058)
Er (0.710, 0.265, 0.265)

Most intense lines, 2θ = 10–80°, sorted by position:
2θ/deg  d/Å  intensity
28.55  3.127  48
28.96  3.083  100
30.14  2.965  19
34.48  2.601  72
37.45  2.402  84
44.53  2.035  19
50.58  1.805  42
57.27  1.609  17
59.10  1.563  31
61.99  1.497  20

4.
Starting from DFT lattice parameters and positions (PBE), the X-ray diffraction stick pattern of Re4Te was calculated for Cu Kα (weighted mean of Kα1 and Kα2).
Neutral-atom scattering factors, no anomalous dispersion.

Atomic structure:
Cell lengths 6.462, 6.462, 6.462 Å; angles 143.33, 143.33, 52.83 degrees
Sites, in units of the cell vectors:
Re (0.120, 0.120, 0.000)
Re (0.250, 0.750, 0.500)
Re (0.750, 0.250, 0.500)
Re (0.880, 0.880, 0.000)
Te (0.500, 0.500, 0.000)

Most intense lines, 2θ = 10–80°, sorted by position:
2θ/deg  d/Å  intensity
15.31  5.787  33
23.19  3.836  22
31.98  2.799  61
34.85  2.575  100
44.42  2.039  72
44.57  2.033  70
45.07  2.012  33
55.90  1.645  25
64.87  1.437  23
65.25  1.430  22

5.
Starting from DFT lattice parameters and positions (PBE), the X-ray diffraction stick pattern of B7C5 was calculated for Cu Kα (weighted mean of Kα1 and Kα2).
Neutral-atom scattering factors, no anomalous dispersion.

Atomic structure:
Cell lengths 4.698, 4.698, 7.701 Å; angles 114.04, 114.04, 33.46 degrees
Sites, in units of the cell vectors:
B (0.000, 0.000, 0.000)
B (0.037, 0.037, 0.467)
B (0.326, 0.326, 0.641)
B (0.336, 0.336, 0.152)
B (0.510, 0.510, 0.835)
B (0.628, 0.628, 0.259)
B (0.942, 0.942, 0.671)
C (0.169, 0.169, 0.700)
C (0.170, 0.170, 0.185)
C (0.505, 0.505, 0.358)
C (0.685, 0.685, 0.823)
C (0.831, 0.831, 0.011)

Most intense lines, 2θ = 10–80°, sorted by position:
2θ/deg  d/Å  intensity
12.70  6.970  27
20.04  4.432  12
21.83  4.072  11
25.56  3.485  17
35.41  2.535  13
40.60  2.222  29
40.75  2.214  100
69.09  1.360  16
69.24  1.357  26
69.50  1.352  12

6.
Starting from DFT lattice parameters and positions (PBE), the X-ray diffraction stick pattern of La2CdRhO6 was calculated for Cu Kα (weighted mean of Kα1 and Kα2).
Neutral-atom scattering factors, no anomalous dispersion.

Atomic structure:
Cell lengths 5.661, 6.035, 9.914 Å; angles 90.00, 124.67, 90.00 degrees
Sites, in units of the cell vectors:
La (0.232, 0.066, 0.252)
La (0.232, 0.434, 0.752)
La (0.768, 0.566, 0.248)
La (0.768, 0.934, 0.748)
Cd (0.500, 0.000, 0.000)
Cd (0.500, 0.500, 0.500)
Rh (0.000, 0.000, 0.500)
Rh (0.000, 0.500, 0.000)
O (0.104, 0.214, 0.933)
O (0.104, 0.286, 0.433)
O (0.240, 0.679, 0.945)
O (0.240, 0.821, 0.445)
O (0.351, 0.050, 0.733)
O (0.351, 0.450, 0.233)
O (0.649, 0.550, 0.767)
O (0.649, 0.950, 0.267)
O (0.760, 0.179, 0.555)
O (0.760, 0.321, 0.055)
O (0.896, 0.714, 0.567)
O (0.896, 0.786, 0.067)

Most intense lines, 2θ = 10–80°, sorted by position:
2θ/deg  d/Å  intensity
24.16  3.683  11
29.60  3.018  21
30.82  2.901  100
31.61  2.830  30
43.85  2.064  18
44.45  2.038  13
49.36  1.846  11
53.30  1.719  10
55.75  1.649  11
55.86  1.646  13

7.
Starting from DFT lattice parameters and positions (PBE), the X-ray diffraction stick pattern of Pr3Cd2 was calculated for Cu Kα (weighted mean of Kα1 and Kα2).
Neutral-atom scattering factors, no anomalous dispersion.

Atomic structure:
Cell lengths 3.839, 3.839, 20.856 Å; angles 90.00, 90.00, 90.00 degrees
Sites, in units of the cell vectors:
Pr (0.000, 0.000, 0.000)
Pr (0.000, 0.000, 0.188)
Pr (0.000, 0.000, 0.378)
Pr (0.000, 0.000, 0.622)
Pr (0.000, 0.000, 0.812)
Pr (0.500, 0.500, 0.500)
Cd (0.500, 0.500, 0.094)
Cd (0.500, 0.500, 0.285)
Cd (0.500, 0.500, 0.715)
Cd (0.500, 0.500, 0.906)

Most intense lines, 2θ = 10–80°, sorted by position:
2θ/deg  d/Å  intensity
31.67  2.825  100
32.99  2.715  54
34.82  2.577  10
47.36  1.920  19
55.57  1.654  11
58.10  1.588  35
59.46  1.554  7
66.16  1.412  7
78.11  1.223  7
78.84  1.214  8

8.
Starting from DFT lattice parameters and positions (PBE), the X-ray diffraction stick pattern of Ag6TeSeCl2 was calculated for Cu Kα (weighted mean of Kα1 and Kα2).
Neutral-atom scattering factors, no anomalous dispersion.

Atomic structure:
Cell lengths 6.855, 6.855, 7.573 Å; angles 123.21, 123.21, 63.91 degrees
Sites, in units of the cell vectors:
Ag (0.186, 0.693, 0.681)
Ag (0.240, 0.240, 0.957)
Ag (0.307, 0.814, 0.319)
Ag (0.693, 0.186, 0.681)
Ag (0.760, 0.760, 0.043)
Ag (0.814, 0.307, 0.319)
Te (0.500, 0.500, 0.000)
Se (0.000, 0.000, 0.500)
Cl (0.251, 0.251, 0.304)
Cl (0.749, 0.749, 0.696)

Most intense lines, 2θ = 10–80°, sorted by position:
2θ/deg  d/Å  intensity
16.92  5.239  43
23.49  3.787  48
29.07  3.071  100
31.85  2.810  51
32.38  2.765  43
32.55  2.751  57
34.23  2.620  60
39.87  2.261  63
40.05  2.251  80
48.05  1.894  49